(1)
For CeErTlTc, DFT lattice parameters and positions (PBE) gives the simulated PXRD pattern in this record (Cu Kα (weighted mean of Kα1 and Kα2)).
No peak broadening, texture or thermal motion is included.

Structure:
Cell: 3.405 3.405 8.371 Å, 90.00 90.00 90.00°
Space group P4mm (No. 99)
Inequivalent atoms, fractional coordinates:
Ce1 0.000 0.000 0.000 x1
Er1 0.000 0.000 0.403 x1
Tl1 0.500 0.500 0.692 x1
Tc1 0.500 0.500 0.195 x1

The 12 most intense peaks (2θ from 10° to 80°), in order of rising 2θ:
- (1 0 1), d = 3.154 Å, intensity 19
- (0 0 3), d = 2.790 Å, intensity 11
- (1 0 2), d = 2.641 Å, intensity 100
- (1 1 0), d = 2.408 Å, intensity 47
- (0 0 4), d = 2.093 Å, intensity 7
- (1 1 3), d = 1.823 Å, intensity 13
- (2 0 0), d = 1.702 Å, intensity 16
- (1 1 4), d = 1.579 Å, intensity 12
- (1 0 5), d = 1.502 Å, intensity 10
- (2 0 3), d = 1.453 Å, intensity 6
- (2 1 2), d = 1.431 Å, intensity 30
- (2 0 4), d = 1.321 Å, intensity 6

***

(2)
For CdHg2Br, DFT lattice parameters and positions (PBE) gives the simulated PXRD pattern in this record (Cu Kα (weighted mean of Kα1 and Kα2)).
No peak broadening, texture or thermal motion is included.

Structure:
Cell: 6.153 8.886 4.441 Å, 90.00 90.00 90.00°
Space group Cmmm (No. 65)
Inequivalent atoms, fractional coordinates:
Cd1 0.000 0.000 0.000 x2
Hg1 0.000 0.220 0.500 x4
Br1 0.000 0.500 0.000 x2

The 12 most intense peaks (2θ from 10° to 80°), in order of rising 2θ:
- (0 0 1), d = 4.442 Å, intensity 24
- (0 2 1), d = 3.141 Å, intensity 100
- (2 0 0), d = 3.077 Å, intensity 52
- (2 0 1), d = 2.529 Å, intensity 13
- (1 3 1), d = 2.288 Å, intensity 16
- (0 0 2), d = 2.221 Å, intensity 36
- (2 2 1), d = 2.198 Å, intensity 75
- (2 0 2), d = 1.801 Å, intensity 37
- (0 2 3), d = 1.405 Å, intensity 13
- (2 4 2), d = 1.399 Å, intensity 13
- (4 2 1), d = 1.382 Å, intensity 17
- (2 2 3), d = 1.278 Å, intensity 19

***

(3)
For LaNd4Sm3, DFT lattice parameters and positions (PBE) gives the simulated PXRD pattern in this record (Cu Kα (weighted mean of Kα1 and Kα2)).
No peak broadening, texture or thermal motion is included.

Structure:
Cell: 10.375 7.347 7.341 Å, 90.00 90.00 90.00°
Space group Pmna (No. 53)
Inequivalent atoms, fractional coordinates:
La1 0.000 0.000 0.000 x2
Nd1 0.000 0.000 0.500 x2
Nd2 0.000 0.500 0.000 x2
Nd3 0.250 0.252 0.250 x4
Sm1 0.000 0.500 0.500 x2
Sm2 0.250 0.252 0.750 x4

The 6 most intense peaks (2θ from 10° to 80°), in order of rising 2θ:
- (2 2 0), d = 2.997 Å, intensity 100
- (4 0 0), d = 2.596 Å, intensity 51
- (4 2 2), d = 1.835 Å, intensity 36
- (6 2 0), d = 1.565 Å, intensity 43
- (4 4 0), d = 1.499 Å, intensity 12
- (8 0 0), d = 1.298 Å, intensity 6